The following is a computed powder X-ray diffraction pattern of Mn5CuO8. It was derived from a DFT-relaxed cell (PBE+U, Alexandria), using CuKα.
Intensities are scaled so that the largest is 100.

Atomic structure:
Lattice parameters (Å, degrees): 8.614 8.614 8.614 90.00 90.00 90.00
Space group F-43m (No. 216)
One atom of each set of equivalent atoms:
Mn 0.000 0.000 0.000 [4 per cell]
Mn 0.124 0.124 0.624 [16 per cell]
Cu 0.250 0.250 0.250 [4 per cell]
O 0.115 0.115 0.385 [16 per cell]
O 0.137 0.137 0.863 [16 per cell]

Principal peaks in the range 10 to 90 degrees two-theta, most intense first:
(3 1 1), 34.53 deg, I 100.0
(4 4 0), 60.83 deg, I 45.2
(5 1 1), 55.42 deg, I 37.1
(2 2 0), 29.33 deg, I 33.3
(4 0 0), 41.95 deg, I 17.8
(5 5 3), 86.85 deg, I 16.3
(4 2 2), 52.01 deg, I 11.4
(5 3 3), 71.87 deg, I 10.2